[1]
Diffraction record for Tb4SmTc. The powder X-ray diffraction pattern is calculated, not measured: it uses DFT lattice parameters and positions (GGA-PBE) and Cu Kα.

The 12 most intense peaks (2θ = 10–90°), sorted by position:
2θ = 29.56°, I = 20, hkl 2 0 5
2θ = 30.50°, I = 32, hkl 3 0 1
2θ = 31.12°, I = 100, hkl 1 1 4
2θ = 31.47°, I = 17, hkl 2 1 1
2θ = 32.01°, I = 22, hkl 1 0 7
2θ = 32.21°, I = 23, hkl 0 1 5
2θ = 33.83°, I = 54, hkl 2 1 3
2θ = 34.81°, I = 14, hkl 0 0 8
2θ = 34.95°, I = 27, hkl 3 0 4
2θ = 38.20°, I = 23, hkl 2 1 5
2θ = 48.40°, I = 26, hkl 0 2 0
2θ = 57.54°, I = 16, hkl 5 1 1

Structure:
```
data_Tb4SmTc
_cell_length_a 8.882
_cell_length_b 3.762
_cell_length_c 20.620
_cell_angle_alpha 90.00
_cell_angle_beta 90.00
_cell_angle_gamma 90.00
_space_group_name_H-M_alt 'P n m a'
_space_group_IT_number 62
loop_
_space_group_symop_operation_xyz
'x,y,z'
'-x,-y,-z'
'-x+1/2,-y,z+1/2'
'x+1/2,y,-z+1/2'
'x+1/2,-y+1/2,-z+1/2'
'-x+1/2,y+1/2,z+1/2'
'-x,y+1/2,-z'
'x,-y+1/2,z'
loop_
_atom_site_label
_atom_site_type_symbol
_atom_site_fract_x
_atom_site_fract_y
_atom_site_fract_z
Tb1 Tb 0.009 0.250 0.067
Tb2 Tb 0.037 0.250 0.793
Tb3 Tb 0.134 0.250 0.544
Tb4 Tb 0.149 0.250 0.359
Sm1 Sm 0.226 0.750 0.688
Tc1 Tc 0.239 0.250 0.955
```

---

[2]
Diffraction record for Tb2Sm5Te4. The powder X-ray diffraction pattern is calculated, not measured: it uses DFT lattice parameters and positions (GGA-PBE) and Cu Kα.

The 12 most intense peaks (2θ = 10–90°), sorted by position:
2θ = 24.16°, I = 19, hkl 3 1 0
2θ = 24.85°, I = 25, hkl 1 1 -1
2θ = 25.04°, I = 51, hkl 1 1 1
2θ = 30.21°, I = 60, hkl 8 0 -1
2θ = 30.87°, I = 72, hkl 5 1 1
2θ = 32.70°, I = 50, hkl 6 0 2
2θ = 33.58°, I = 100, hkl 3 1 -2
2θ = 34.37°, I = 21, hkl 3 1 2
2θ = 39.00°, I = 44, hkl 9 1 0
2θ = 44.18°, I = 35, hkl 0 2 0
2θ = 54.44°, I = 27, hkl 8 2 -1
2θ = 56.03°, I = 22, hkl 6 2 2

Structure:
```
data_Tb2Sm5Te4
_cell_length_a 25.188
_cell_length_b 4.101
_cell_length_c 7.573
_cell_angle_alpha 90.00
_cell_angle_beta 92.96
_cell_angle_gamma 90.00
_space_group_name_H-M_alt 'C 1 2/m 1'
_space_group_IT_number 12
loop_
_space_group_symop_operation_xyz
'x,y,z'
'-x,-y,-z'
'-x,y,-z'
'x,-y,z'
'x+1/2,y+1/2,z'
'-x+1/2,-y+1/2,-z'
'-x+1/2,y+1/2,-z'
'x+1/2,-y+1/2,z'
loop_
_atom_site_label
_atom_site_type_symbol
_atom_site_fract_x
_atom_site_fract_y
_atom_site_fract_z
Tb1 Tb 0.233 0.000 0.317
Sm1 Sm 0.000 0.000 0.500
Sm2 Sm 0.135 0.500 0.508
Sm3 Sm 0.164 0.500 0.997
Te1 Te 0.049 0.500 0.775
Te2 Te 0.099 0.000 0.224
```

---

[3]
Diffraction record for Tb3Sm5Te8. The powder X-ray diffraction pattern is calculated, not measured: it uses DFT lattice parameters and positions (GGA-PBE) and Cu Kα.

The 12 most intense peaks (2θ = 10–90°), sorted by position:
2θ = 24.68°, I = 2, hkl 0 0 6
2θ = 28.57°, I = 100, hkl 0 2 4
2θ = 40.85°, I = 76, hkl 2 2 0
2θ = 50.51°, I = 7, hkl 0 0 12
2θ = 50.64°, I = 20, hkl 4 0 4
2θ = 59.15°, I = 13, hkl 0 4 8
2θ = 66.93°, I = 17, hkl 2 2 12
2θ = 67.03°, I = 17, hkl 2 4 4
2θ = 74.25°, I = 6, hkl 0 2 16
2θ = 74.42°, I = 19, hkl 6 0 0
2θ = 88.43°, I = 4, hkl 4 0 16
2θ = 88.63°, I = 4, hkl 4 4 0

Structure:
```
data_Tb3Sm5Te8
_cell_length_a 8.8282
_cell_length_b 8.8282
_cell_length_c 21.6834
_cell_angle_alpha 90.00
_cell_angle_beta 90.00
_cell_angle_gamma 120.00
_space_group_name_H-M_alt 'R -3 m'
_space_group_IT_number 166
_space_group_name_Hall '-R 3 2"'
loop_
_atom_site_label
_atom_site_type_symbol
_atom_site_fract_x
_atom_site_fract_y
_atom_site_fract_z
Tb1 Tb 0.0000 0.5000 0.0000
Sm1 Sm 0.0000 0.0000 0.0000
Sm2 Sm 0.0000 0.0000 0.5000
Sm3 Sm 0.0000 0.5000 0.5000
Te1 Te 0.0000 0.0000 0.2521
Te2 Te 0.0028 0.5014 0.2514
```

---

[4]
Diffraction record for Tb4Sm3Te8. The powder X-ray diffraction pattern is calculated, not measured: it uses DFT lattice parameters and positions (GGA-PBE) and Cu Kα.

The 12 most intense peaks (2θ = 10–90°), sorted by position:
2θ = 12.34°, I = 4, hkl 1 1 0
2θ = 14.26°, I = 3, hkl 2 0 -1
2θ = 20.22°, I = 2, hkl 0 2 1
2θ = 23.76°, I = 4, hkl 3 1 -2
2θ = 28.76°, I = 100, hkl 0 4 0
2θ = 31.40°, I = 3, hkl 3 3 -1
2θ = 41.12°, I = 76, hkl 4 0 0
2θ = 50.95°, I = 27, hkl 4 4 0
2θ = 59.55°, I = 13, hkl 0 8 0
2θ = 67.46°, I = 35, hkl 4 0 2
2θ = 74.92°, I = 26, hkl 4 4 2
2θ = 89.23°, I = 8, hkl 8 0 0

Structure:
```
data_Tb4Sm3Te8
_cell_length_a 12.414
_cell_length_b 12.419
_cell_length_c 8.777
_cell_angle_alpha 90.00
_cell_angle_beta 134.96
_cell_angle_gamma 90.00
_space_group_name_H-M_alt 'C 1 2/m 1'
_space_group_IT_number 12
loop_
_space_group_symop_operation_xyz
'x,y,z'
'-x,-y,-z'
'-x,y,-z'
'x,-y,z'
'x+1/2,y+1/2,z'
'-x+1/2,-y+1/2,-z'
'-x+1/2,y+1/2,-z'
'x+1/2,-y+1/2,z'
loop_
_atom_site_label
_atom_site_type_symbol
_atom_site_fract_x
_atom_site_fract_y
_atom_site_fract_z
Tb1 Tb 0.000 0.000 0.000
Tb2 Tb 0.000 0.000 0.500
Tb3 Tb 0.250 0.250 0.000
Sm1 Sm 0.000 0.500 0.500
Sm2 Sm 0.250 0.250 0.500
Te1 Te 0.000 0.248 0.500
Te2 Te 0.000 0.254 0.000
Te3 Te 0.248 0.500 0.004
Te4 Te 0.248 0.500 0.492
```

---

[5]
Diffraction record for TbSmTe6. The powder X-ray diffraction pattern is calculated, not measured: it uses DFT lattice parameters and positions (GGA-PBE) and Cu Kα.

The 12 most intense peaks (2θ = 10–90°), sorted by position:
2θ = 13.09°, I = 14, hkl 0 0 4
2θ = 26.35°, I = 36, hkl 0 0 8
2θ = 29.16°, I = 17, hkl 1 1 1
2θ = 30.65°, I = 100, hkl 1 1 3
2θ = 33.48°, I = 51, hkl 1 1 5
2θ = 36.30°, I = 14, hkl 0 1 9
2θ = 37.31°, I = 33, hkl 1 1 7
2θ = 41.43°, I = 49, hkl 2 0 0
2θ = 47.28°, I = 11, hkl 1 1 11
2θ = 49.77°, I = 25, hkl 2 0 8
2θ = 60.03°, I = 16, hkl 2 2 0
2θ = 68.91°, I = 19, hkl 3 1 3

Structure:
```
data_TbSmTe6
_cell_length_a 4.360
_cell_length_b 4.359
_cell_length_c 27.053
_cell_angle_alpha 90.00
_cell_angle_beta 90.00
_cell_angle_gamma 90.00
_space_group_name_H-M_alt 'A m m 2'
_space_group_IT_number 38
loop_
_space_group_symop_operation_xyz
'x,y,z'
'-x,-y,z'
'-x,y,z'
'x,-y,z'
'x,y+1/2,z+1/2'
'-x,-y+1/2,z+1/2'
'-x,y+1/2,z+1/2'
'x,-y+1/2,z+1/2'
loop_
_atom_site_label
_atom_site_type_symbol
_atom_site_fract_x
_atom_site_fract_y
_atom_site_fract_z
Tb1 Tb 0.000 0.000 0.000
Sm1 Sm 0.500 0.000 0.655
Te1 Te 0.000 0.000 0.119
Te2 Te 0.000 0.000 0.407
Te3 Te 0.000 0.000 0.749
Te4 Te 0.500 0.000 0.249
Te5 Te 0.500 0.000 0.534
Te6 Te 0.500 0.000 0.907
```

---

[6]
Diffraction record for Tb3Sm2ThTe6. The powder X-ray diffraction pattern is calculated, not measured: it uses DFT lattice parameters and positions (GGA-PBE) and Cu Kα.

The 12 most intense peaks (2θ = 10–90°), sorted by position:
2θ = 28.60°, I = 100, hkl 1 1 -2
2θ = 40.60°, I = 13, hkl 2 0 -4
2θ = 40.74°, I = 26, hkl 7 1 -2
2θ = 41.05°, I = 25, hkl 5 1 2
2θ = 41.19°, I = 13, hkl 0 2 0
2θ = 50.15°, I = 7, hkl 8 0 -4
2θ = 50.67°, I = 7, hkl 4 0 4
2θ = 50.91°, I = 13, hkl 6 2 0
2θ = 59.21°, I = 13, hkl 2 2 -4
2θ = 66.84°, I = 12, hkl 8 2 -4
2θ = 67.27°, I = 11, hkl 4 2 4
2θ = 74.71°, I = 11, hkl 7 3 -2

Structure:
```
data_Tb3Sm2ThTe6
_cell_length_a 19.292
_cell_length_b 4.384
_cell_length_c 8.890
_cell_angle_alpha 90.00
_cell_angle_beta 103.91
_cell_angle_gamma 90.00
_space_group_name_H-M_alt 'C 1 2/m 1'
_space_group_IT_number 12
loop_
_space_group_symop_operation_xyz
'x,y,z'
'-x,-y,-z'
'-x,y,-z'
'x,-y,z'
'x+1/2,y+1/2,z'
'-x+1/2,-y+1/2,-z'
'-x+1/2,y+1/2,-z'
'x+1/2,-y+1/2,z'
loop_
_atom_site_label
_atom_site_type_symbol
_atom_site_fract_x
_atom_site_fract_y
_atom_site_fract_z
Tb1 Tb 0.000 0.000 0.000
Tb2 Tb 0.165 0.500 0.333
Sm1 Sm 0.163 0.500 0.826
Th1 Th 0.000 0.000 0.500
Te1 Te 0.002 0.500 0.243
Te2 Te 0.167 0.000 0.086
Te3 Te 0.170 0.000 0.579
```

---

[7]
Diffraction record for TbSmTh2Te5. The powder X-ray diffraction pattern is calculated, not measured: it uses DFT lattice parameters and positions (GGA-PBE) and Cu Kα.

The 12 most intense peaks (2θ = 10–90°), sorted by position:
2θ = 23.06°, I = 99, hkl 1 1 0
2θ = 28.05°, I = 53, hkl 1 0 3
2θ = 32.58°, I = 68, hkl 1 1 3
2θ = 32.84°, I = 100, hkl 2 0 0
2θ = 34.68°, I = 51, hkl 1 0 4
2θ = 43.72°, I = 32, hkl 2 1 3
2θ = 45.38°, I = 16, hkl 2 0 4
2θ = 47.12°, I = 37, hkl 2 2 0
2θ = 48.51°, I = 40, hkl 2 1 4
2θ = 53.09°, I = 21, hkl 3 1 0
2θ = 58.46°, I = 26, hkl 3 1 3
2θ = 78.40°, I = 16, hkl 4 2 0

Structure:
```
data_TbSmTh2Te5
_cell_length_a 5.455
_cell_length_b 5.455
_cell_length_c 11.750
_cell_angle_alpha 90.00
_cell_angle_beta 90.00
_cell_angle_gamma 90.00
_space_group_name_H-M_alt 'P 4/m m m'
_space_group_IT_number 123
_space_group_name_Hall '-P 4 2'
loop_
_atom_site_label
_atom_site_type_symbol
_atom_site_fract_x
_atom_site_fract_y
_atom_site_fract_z
Tb1 Tb 0.000 0.000 0.000
Sm1 Sm 0.000 0.000 0.500
Th1 Th 0.500 0.500 0.157
Te1 Te 0.000 0.000 0.252
Te2 Te 0.000 0.500 0.000
Te3 Te 0.500 0.500 0.500
```

---

[8]
Diffraction record for TbSm2YTe5. The powder X-ray diffraction pattern is calculated, not measured: it uses DFT lattice parameters and positions (GGA-PBE) and Cu Kα.

The 12 most intense peaks (2θ = 10–90°), sorted by position:
2θ = 22.59°, I = 81, hkl 1 1 0
2θ = 28.15°, I = 53, hkl 1 0 3
2θ = 30.92°, I = 18, hkl 0 0 4
2θ = 32.17°, I = 100, hkl 2 0 0
2θ = 32.51°, I = 47, hkl 1 1 3
2θ = 34.97°, I = 40, hkl 1 0 4
2θ = 43.27°, I = 34, hkl 2 1 3
2θ = 45.22°, I = 24, hkl 2 0 4
2θ = 46.13°, I = 37, hkl 2 2 0
2θ = 48.24°, I = 32, hkl 2 1 4
2θ = 51.96°, I = 17, hkl 3 1 0
2θ = 57.57°, I = 18, hkl 3 1 3

Structure:
```
data_TbSm2YTe5
_cell_length_a 5.566
_cell_length_b 5.566
_cell_length_c 11.567
_cell_angle_alpha 90.00
_cell_angle_beta 90.00
_cell_angle_gamma 90.00
_space_group_name_H-M_alt 'P 4/m m m'
_space_group_IT_number 123
_space_group_name_Hall '-P 4 2'
loop_
_atom_site_label
_atom_site_type_symbol
_atom_site_fract_x
_atom_site_fract_y
_atom_site_fract_z
Tb1 Tb 0.000 0.000 0.000
Sm1 Sm 0.500 0.500 0.156
Y1 Y 0.000 0.000 0.500
Te1 Te 0.000 0.000 0.255
Te2 Te 0.000 0.500 0.000
Te3 Te 0.500 0.500 0.500
```

---

[9]
Diffraction record for Tb2SmTh2. The powder X-ray diffraction pattern is calculated, not measured: it uses DFT lattice parameters and positions (GGA-PBE) and Cu Kα.

The 12 most intense peaks (2θ = 10–90°), sorted by position:
2θ = 30.54°, I = 100, hkl 0 1 5
2θ = 30.69°, I = 33, hkl 0 0 15
2θ = 35.45°, I = 67, hkl 1 0 10
2θ = 50.91°, I = 25, hkl 1 1 0
2θ = 51.11°, I = 24, hkl 0 1 20
2θ = 60.60°, I = 44, hkl 2 0 5
2θ = 60.80°, I = 14, hkl 1 0 25
2θ = 63.57°, I = 13, hkl 0 2 10
2θ = 75.02°, I = 8, hkl 2 0 20
2θ = 82.97°, I = 12, hkl 1 2 5
2θ = 85.66°, I = 11, hkl 2 1 10
2θ = 85.97°, I = 11, hkl 1 1 30

Structure:
```
data_Tb2SmTh2
_cell_length_a 3.5873
_cell_length_b 3.5873
_cell_length_c 43.6994
_cell_angle_alpha 90.00
_cell_angle_beta 90.00
_cell_angle_gamma 120.00
_space_group_name_H-M_alt 'R -3 m'
_space_group_IT_number 166
_space_group_name_Hall '-R 3 2"'
loop_
_atom_site_label
_atom_site_type_symbol
_atom_site_fract_x
_atom_site_fract_y
_atom_site_fract_z
Tb1 Tb 0.0000 0.0000 0.0988
Sm1 Sm 0.0000 0.0000 0.5000
Th1 Th 0.0000 0.0000 0.3009
```

---

[10]
Diffraction record for TbSmTh2. The powder X-ray diffraction pattern is calculated, not measured: it uses DFT lattice parameters and positions (GGA-PBE) and Cu Kα.

The 12 most intense peaks (2θ = 10–90°), sorted by position:
2θ = 30.52°, I = 100, hkl 1 1 2
2θ = 35.34°, I = 34, hkl 0 2 0
2θ = 35.47°, I = 17, hkl 2 0 0
2θ = 50.88°, I = 31, hkl 2 2 0
2θ = 51.01°, I = 6, hkl 2 0 4
2θ = 60.46°, I = 29, hkl 1 3 2
2θ = 60.64°, I = 15, hkl 3 1 2
2θ = 63.47°, I = 6, hkl 2 2 -4
2θ = 63.57°, I = 6, hkl 2 2 4
2θ = 82.87°, I = 9, hkl 1 3 6
2θ = 82.99°, I = 6, hkl 3 3 2
2θ = 85.50°, I = 10, hkl 2 4 0

Structure:
```
data_TbSmTh2
_cell_length_a 5.062
_cell_length_b 5.081
_cell_length_c 10.156
_cell_angle_alpha 90.00
_cell_angle_beta 90.13
_cell_angle_gamma 90.00
_space_group_name_H-M_alt 'P 1 21/m 1'
_space_group_IT_number 11
loop_
_space_group_symop_operation_xyz
'x,y,z'
'-x,-y,-z'
'-x,y+1/2,-z'
'x,-y+1/2,z'
loop_
_atom_site_label
_atom_site_type_symbol
_atom_site_fract_x
_atom_site_fract_y
_atom_site_fract_z
Tb1 Tb 0.000 0.250 0.132
Sm1 Sm 0.499 0.750 0.132
Th1 Th 0.000 0.250 0.620
Th2 Th 0.500 0.250 0.379
```

---

[11]
Diffraction record for Tb6Sm3Th2. The powder X-ray diffraction pattern is calculated, not measured: it uses DFT lattice parameters and positions (GGA-PBE) and Cu Kα.

The 12 most intense peaks (2θ = 10–90°), sorted by position:
2θ = 30.53°, I = 100, hkl 0 1 11
2θ = 30.71°, I = 32, hkl 0 0 33
2θ = 35.45°, I = 67, hkl 1 0 22
2θ = 50.89°, I = 25, hkl 1 1 0
2θ = 51.12°, I = 23, hkl 0 1 44
2θ = 60.51°, I = 15, hkl 2 0 11
2θ = 60.62°, I = 28, hkl 1 1 33
2θ = 60.82°, I = 14, hkl 1 0 55
2θ = 63.55°, I = 12, hkl 0 2 22
2θ = 82.93°, I = 12, hkl 1 2 11
2θ = 85.62°, I = 11, hkl 2 1 22
2θ = 85.98°, I = 11, hkl 1 1 66

Structure:
```
data_Tb6Sm3Th2
_cell_length_a 3.5888
_cell_length_b 3.5888
_cell_length_c 96.0860
_cell_angle_alpha 90.00
_cell_angle_beta 90.00
_cell_angle_gamma 120.00
_space_group_name_H-M_alt 'R -3 m'
_space_group_IT_number 166
_space_group_name_Hall '-R 3 2"'
loop_
_atom_site_label
_atom_site_type_symbol
_atom_site_fract_x
_atom_site_fract_y
_atom_site_fract_z
Tb1 Tb 0.0000 0.0000 0.0921
Tb2 Tb 0.0000 0.0000 0.1824
Tb3 Tb 0.0000 0.0000 0.3639
Sm1 Sm 0.0000 0.0000 0.0000
Sm2 Sm 0.0000 0.0000 0.2725
Th1 Th 0.0000 0.0000 0.4549
```

---

[12]
Diffraction record for TbSm8Th4. The powder X-ray diffraction pattern is calculated, not measured: it uses DFT lattice parameters and positions (GGA-PBE) and Cu Kα.

The 12 most intense peaks (2θ = 10–90°), sorted by position:
2θ = 19.42°, I = 33, hkl 0 2 1
2θ = 19.86°, I = 14, hkl 0 0 3
2θ = 31.89°, I = 100, hkl 2 2 0
2θ = 32.44°, I = 94, hkl 0 2 4
2θ = 37.85°, I = 17, hkl 2 2 3
2θ = 46.13°, I = 35, hkl 4 0 4
2θ = 56.82°, I = 19, hkl 6 0 0
2θ = 57.17°, I = 37, hkl 2 4 4
2θ = 58.20°, I = 17, hkl 2 0 8
2θ = 66.65°, I = 12, hkl 4 4 0
2θ = 76.10°, I = 16, hkl 6 2 4
2θ = 77.00°, I = 14, hkl 4 2 8

Structure:
```
data_TbSm8Th4
_cell_length_a 11.2252
_cell_length_b 11.2252
_cell_length_c 13.4132
_cell_angle_alpha 90.00
_cell_angle_beta 90.00
_cell_angle_gamma 120.00
_space_group_name_H-M_alt 'R -3 m'
_space_group_IT_number 166
_space_group_name_Hall '-R 3 2"'
loop_
_atom_site_label
_atom_site_type_symbol
_atom_site_fract_x
_atom_site_fract_y
_atom_site_fract_z
Tb1 Tb 0.0000 0.0000 0.0000
Sm1 Sm 0.0000 0.0000 0.2613
Sm2 Sm 0.0115 0.5057 0.2413
Th1 Th 0.0000 0.0000 0.5000
Th2 Th 0.0000 0.5000 0.5000
```